[1]
Starting from a DFT-relaxed cell (PBE, Alexandria), the powder XRD pattern of Nd3Ho8Th2 was simulated for Cu Kα, 1.54184 Å.

Top 12 peaks for 10° ≤ 2θ ≤ 80°, low angle first:
2θ = 29.87°, I = 50.4; 2θ = 31.37°, I = 58.4; 2θ = 31.51°, I = 83.9; 2θ = 31.75°, I = 100.0; 2θ = 32.09°, I = 52.8; 2θ = 32.28°, I = 75.9; 2θ = 32.62°, I = 28.7; 2θ = 33.83°, I = 36.8; 2θ = 47.38°, I = 20.2; 2θ = 55.96°, I = 20.2; 2θ = 56.93°, I = 23.6; 2θ = 63.29°, I = 27.5

Structure:
```
data_Nd3Ho8Th2
_chemical_formula_sum 'Nd6 Ho16 Th4'
_cell_length_a 6.7885
_cell_length_b 8.6562
_cell_length_c 14.8847
_cell_angle_alpha 87.32
_cell_angle_beta 84.86
_cell_angle_gamma 76.86
_symmetry_space_group_name_H-M 'P -1'
_symmetry_Int_Tables_number 2
loop_
_symmetry_equiv_pos_as_xyz
'x,y,z'
'-x,-y,-z'
loop_
_atom_site_label
_atom_site_type_symbol
_atom_site_fract_x
_atom_site_fract_y
_atom_site_fract_z
_atom_site_occupancy
Nd1 Nd 0.0000 0.0000 0.0000 1
Nd2 Nd 0.0912 0.5488 0.3566 1
Nd3 Nd 0.4031 0.9491 0.1455 1
Nd4 Nd 0.5000 0.5000 0.5000 1
Ho1 Ho 0.0524 0.3048 0.1725 1
Ho2 Ho 0.0891 0.7856 0.6091 1
Ho3 Ho 0.1214 0.0803 0.7724 1
Ho4 Ho 0.2496 0.6252 0.1130 1
Ho5 Ho 0.2505 0.8725 0.3846 1
Ho6 Ho 0.2799 0.1311 0.5494 1
Ho7 Ho 0.3876 0.4222 0.7280 1
Ho8 Ho 0.4081 0.7177 0.8911 1
Th1 Th 0.2165 0.3643 0.9486 1
Th2 Th 0.4432 0.1963 0.3254 1
```

[2]
Starting from a DFT-relaxed cell (PBE, Alexandria), the powder XRD pattern of Ce3HoIn6 was simulated for Cu Kα, 1.54184 Å.

Top 12 peaks for 10° ≤ 2θ ≤ 80°, low angle first:
2θ = 15.59°, I = 35.1; 2θ = 18.02°, I = 26.2; 2θ = 27.17°, I = 28.9; 2θ = 32.51°, I = 94.1; 2θ = 32.79°, I = 20.3; 2θ = 33.80°, I = 66.0; 2θ = 36.50°, I = 100.0; 2θ = 37.42°, I = 24.8; 2θ = 45.88°, I = 24.0; 2θ = 50.59°, I = 18.8; 2θ = 60.00°, I = 18.5; 2θ = 64.25°, I = 19.7

Structure:
```
data_Ce3HoIn6
_chemical_formula_sum 'Ce9 Ho3 In18'
_cell_length_a 19.6942
_cell_length_b 19.6942
_cell_length_c 3.3873
_cell_angle_alpha 90.00
_cell_angle_beta 90.00
_cell_angle_gamma 120.00
_symmetry_space_group_name_H-M 'R 3 m'
_symmetry_Int_Tables_number 160
_symmetry_space_group_name_Hall 'R 3 -2"'
loop_
_atom_site_label
_atom_site_type_symbol
_atom_site_fract_x
_atom_site_fract_y
_atom_site_fract_z
_atom_site_occupancy
Ce1 Ce 0.1745 0.0873 0.0000 1
Ho1 Ho 0.0000 0.0000 0.4739 1
In1 In 0.0114 0.5057 0.7786 1
In2 In 0.0889 0.1777 0.5518 1
```

[3]
Starting from a DFT-relaxed cell (PBE, Alexandria), the powder XRD pattern of FePd4Pt5 was simulated for Cu Kα, 1.54184 Å.

Top 12 peaks for 10° ≤ 2θ ≤ 80°, low angle first:
2θ = 14.60°, I = 10.6; 2θ = 19.98°, I = 19.7; 2θ = 22.08°, I = 13.3; 2θ = 30.70°, I = 12.3; 2θ = 32.08°, I = 10.8; 2θ = 37.93°, I = 9.8; 2θ = 39.15°, I = 35.5; 2θ = 40.61°, I = 24.7; 2θ = 43.24°, I = 100.0; 2θ = 57.68°, I = 17.7; 2θ = 73.77°, I = 20.6; 2θ = 75.71°, I = 13.3

Structure:
```
data_FePd4Pt5
_chemical_formula_sum 'Fe2 Pd8 Pt10'
_cell_length_a 4.6021
_cell_length_b 8.3038
_cell_length_c 8.8865
_cell_angle_alpha 90.00
_cell_angle_beta 90.00
_cell_angle_gamma 90.00
_symmetry_space_group_name_H-M 'I m m m'
_symmetry_Int_Tables_number 71
_symmetry_space_group_name_Hall '-I 2 2'
loop_
_atom_site_label
_atom_site_type_symbol
_atom_site_fract_x
_atom_site_fract_y
_atom_site_fract_z
_atom_site_occupancy
Fe1 Fe 0.0000 0.0000 0.0000 1
Pd1 Pd 0.0000 0.3362 0.0000 1
Pd2 Pd 0.0000 0.5000 0.3051 1
Pt1 Pt 0.0000 0.0000 0.5000 1
Pt2 Pt 0.0000 0.1663 0.2499 1
```

[4]
Starting from a DFT-relaxed cell (PBE, Alexandria), the powder XRD pattern of MnIrRhS was simulated for Cu Kα, 1.54184 Å.

Top 12 peaks for 10° ≤ 2θ ≤ 80°, low angle first:
2θ = 21.17°, I = 57.7; 2θ = 33.90°, I = 32.4; 2θ = 37.29°, I = 54.1; 2θ = 37.65°, I = 36.6; 2θ = 39.92°, I = 100.0; 2θ = 40.92°, I = 30.6; 2θ = 41.86°, I = 66.1; 2θ = 43.10°, I = 19.3; 2θ = 46.43°, I = 49.8; 2θ = 52.83°, I = 18.3; 2θ = 53.91°, I = 33.1; 2θ = 79.53°, I = 19.9

Structure:
```
data_MnIrRhS
_chemical_formula_sum 'Mn1 Ir1 Rh1 S1'
_cell_length_a 4.3953
_cell_length_b 2.9057
_cell_length_c 4.5245
_cell_angle_alpha 90.00
_cell_angle_beta 107.25
_cell_angle_gamma 90.00
_symmetry_space_group_name_H-M 'P 1 m 1'
_symmetry_Int_Tables_number 6
loop_
_symmetry_equiv_pos_as_xyz
'x,y,z'
'x,-y,z'
loop_
_atom_site_label
_atom_site_type_symbol
_atom_site_fract_x
_atom_site_fract_y
_atom_site_fract_z
_atom_site_occupancy
Mn1 Mn 0.0000 0.0000 0.0000 1
Ir1 Ir 0.4487 0.5000 0.8421 1
Rh1 Rh 0.6222 0.0000 0.3928 1
S1 S 0.0439 0.5000 0.3977 1
```